Theoretical powder X-ray diffraction pattern of RbPu2WO8 for Cu Kα (λ = 1.5418 Å), from a DFT-relaxed cell (GGA+U, Alexandria).
Neutral-atom scattering factors, no anomalous dispersion.

Most intense lines, 10 to 90 degrees two-theta, by angle:
2θ = 17.06°, intensity 19
2θ = 19.46°, intensity 43
2θ = 22.14°, intensity 79
2θ = 26.15°, intensity 63
2θ = 27.71°, intensity 100
2θ = 31.94°, intensity 61
2θ = 34.52°, intensity 35
2θ = 35.53°, intensity 20
2θ = 39.24°, intensity 20
2θ = 47.11°, intensity 25
2θ = 49.92°, intensity 37
2θ = 57.22°, intensity 22

```
RbPu2WO8
1.0
4.122 -3.408 0.000
4.122 3.408 0.000
-1.698 0.000 7.308
Rb Pu W O
1 2 1 8
Cartesian
0.000 0.000 0.000
2.444 0.000 5.580
4.103 0.000 1.728
-0.849 0.000 3.654
3.534 2.030 2.316
3.013 2.030 4.992
1.104 0.000 4.048
2.873 0.000 0.122
3.674 0.000 7.186
5.443 0.000 3.260
3.534 -2.030 2.316
3.013 -2.030 4.992
```